Entry 1:
Theoretical powder diffractogram
Compound: TbTmH8Ir2
Radiation: a wavelength of 1.5418 Å
Structure: a DFT-relaxed cell (PBE, Alexandria)
No peak broadening, texture or thermal motion is included.

Top 6 peaks for 2θ = 10–90°, in order of falling intensity:
2θ (°), d_spacing, intensity
32.6, 2.745, 100
34.1, 2.626, 86
16.7, 5.312, 50
45.4, 1.997, 38
40.9, 2.209, 38
18.1, 4.904, 37

Structural model:
Lattice parameters (Å, degrees): 5.430 5.430 6.740 124.21 124.21 48.00
Sites, in units of the cell vectors:
Tb 0.000 0.000 0.000
Tm 0.500 0.500 0.500
H 0.009 0.508 0.187
H 0.042 0.042 0.399
H 0.470 0.470 0.818
H 0.492 0.991 0.813
H 0.508 0.009 0.187
H 0.530 0.530 0.182
H 0.958 0.958 0.601
H 0.991 0.492 0.813
Ir 0.251 0.251 0.630
Ir 0.749 0.749 0.370

---

Entry 2:
Theoretical powder diffractogram
Compound: TbCeDy2Er5
Radiation: a wavelength of 1.5418 Å
Structure: a DFT-relaxed cell (PBE, Alexandria)
No peak broadening, texture or thermal motion is included.

Top 6 peaks for 2θ = 10–90°, in order of falling intensity:
2θ (°), d_spacing, intensity
32.4, 2.767, 100
32.7, 2.738, 62
31.7, 2.824, 60
34.7, 2.582, 36
56.9, 1.619, 25
26.8, 3.331, 24

Structural model:
Lattice parameters (Å, degrees): 11.039 11.039 9.496 90.00 90.00 150.35
Sites, in units of the cell vectors:
Tb 0.097 0.903 0.500
Tb 0.903 0.097 0.000
Ce 0.308 0.692 0.094
Ce 0.692 0.308 0.594
Dy 0.365 0.635 0.780
Dy 0.387 0.613 0.395
Dy 0.613 0.387 0.895
Dy 0.635 0.365 0.280
Er 0.029 0.971 0.820
Er 0.106 0.894 0.116
Er 0.193 0.807 0.788
Er 0.233 0.767 0.407
Er 0.486 0.514 0.087
Er 0.514 0.486 0.587
Er 0.767 0.233 0.907
Er 0.807 0.193 0.288
Er 0.894 0.106 0.616
Er 0.971 0.029 0.320

---

Entry 3:
Theoretical powder diffractogram
Compound: Sm2Er5Th2
Radiation: a wavelength of 1.5418 Å
Structure: a DFT-relaxed cell (PBE, Alexandria)
No peak broadening, texture or thermal motion is included.

Top 6 peaks for 2θ = 10–90°, in order of falling intensity:
2θ (°), d_spacing, intensity
35.8, 2.505, 100
35.2, 2.548, 84
29.7, 3.009, 62
29.9, 2.986, 60
32.7, 2.737, 51
33.5, 2.676, 43

Structural model:
Lattice parameters (Å, degrees): 11.283 11.283 8.057 98.91 98.91 17.68
Sites, in units of the cell vectors:
Sm 0.176 0.176 0.151
Sm 0.824 0.824 0.849
Er 0.000 0.000 0.000
Er 0.091 0.091 0.728
Er 0.308 0.308 0.457
Er 0.692 0.692 0.543
Er 0.909 0.909 0.272
Th 0.448 0.448 0.649
Th 0.552 0.552 0.351